Record 1
Tb6NiBr10: calculated powder diffraction line list (Cu Kα (weighted mean of Kα1 and Kα2)), based on a structure optimized by DFT (PBE).

The 10 most intense peaks (10 to 90 degrees two-theta), by intensity:
two_theta, Rel. int.
30.26, 100
30.67, 98
30.92, 97
10.46, 59
10.81, 57
44.94, 35
43.97, 35
43.18, 35
44.07, 34
44.25, 33

Structural model:
```
Tb6NiBr10
1.0
7.359 0.000 0.000
-2.550 8.815 0.000
-1.126 -3.386 8.457
Tb Ni Br
6 1 10
direct
0.024 0.201 0.404
0.122 0.543 0.254
0.360 0.638 0.679
0.640 0.362 0.321
0.878 0.457 0.746
0.976 0.799 0.596
0.000 0.500 0.500
0.087 0.871 0.323
0.208 0.235 0.144
0.260 0.587 0.963
0.365 0.965 0.776
0.450 0.320 0.587
0.550 0.680 0.413
0.635 0.035 0.224
0.740 0.413 0.037
0.792 0.765 0.856
0.913 0.129 0.677
```


Record 2
Tc: calculated powder diffraction line list (Cu Kα (weighted mean of Kα1 and Kα2)), based on a structure optimized by DFT (PBE).

The 10 most intense peaks (10 to 90 degrees two-theta), by intensity:
two_theta, Rel. int.
42.98, 100
38.98, 44
40.89, 34
82.31, 26
49.05, 23
67.80, 22
75.90, 18
83.71, 14
65.71, 9
37.57, 8

Structural model:
```
Tc
1.0
2.764 0.000 0.000
-1.382 2.394 0.000
0.000 0.000 8.828
Tc
4
direct
0.000 0.000 0.000
0.000 0.000 0.500
0.333 0.667 0.250
0.667 0.333 0.750
```


Record 3
Ge7O16: calculated powder diffraction line list (Cu Kα (weighted mean of Kα1 and Kα2)), based on a structure optimized by DFT (PBE).

The 10 most intense peaks (10 to 90 degrees two-theta), by intensity:
two_theta, Rel. int.
11.27, 100
19.58, 19
38.01, 15
27.83, 13
36.17, 9
34.26, 8
67.47, 6
58.80, 6
32.24, 6
61.35, 5

Structural model:
```
Ge7O16
1.0
7.852 0.000 0.000
0.000 7.852 0.000
0.000 0.000 7.852
Ge O
7 16
direct
0.000 0.000 0.500
0.000 0.500 0.000
0.136 0.136 0.136
0.136 0.864 0.864
0.500 0.000 0.000
0.864 0.136 0.864
0.864 0.864 0.136
0.115 0.115 0.885
0.115 0.885 0.115
0.132 0.132 0.372
0.132 0.372 0.132
0.132 0.628 0.868
0.132 0.868 0.628
0.372 0.132 0.132
0.372 0.868 0.868
0.628 0.132 0.868
0.628 0.868 0.132
0.868 0.132 0.628
0.868 0.372 0.868
0.868 0.628 0.132
0.868 0.868 0.372
0.885 0.115 0.115
0.885 0.885 0.885
```


Record 4
UCuSn: calculated powder diffraction line list (Cu Kα (weighted mean of Kα1 and Kα2)), based on a structure optimized by DFT (PBE).

The 10 most intense peaks (10 to 90 degrees two-theta), by intensity:
two_theta, Rel. int.
37.37, 100
36.53, 89
66.31, 39
53.26, 37
20.85, 35
75.85, 22
89.50, 19
65.76, 16
77.64, 11
63.83, 6

Structural model:
```
UCuSn
1.0
4.919 0.000 0.000
-2.459 4.260 0.000
0.000 0.000 5.833
U Cu Sn
2 2 2
direct
0.000 0.000 0.000
0.000 0.000 0.500
0.333 0.667 0.250
0.667 0.333 0.750
0.333 0.667 0.750
0.667 0.333 0.250
```


Record 5
KCo2Se2: calculated powder diffraction line list (Cu Kα (weighted mean of Kα1 and Kα2)), based on a structure optimized by DFT (PBE).

The 10 most intense peaks (10 to 90 degrees two-theta), by intensity:
two_theta, Rel. int.
30.50, 100
13.27, 89
52.91, 50
42.55, 47
46.61, 42
56.72, 32
35.23, 24
23.78, 13
48.68, 13
68.03, 13

Structural model:
```
KCo2Se2
1.0
3.898 0.000 0.000
0.000 3.898 0.000
0.000 0.000 13.341
K Co Se
2 4 4
direct
0.000 0.000 0.000
0.500 0.500 0.500
0.000 0.500 0.250
0.000 0.500 0.750
0.500 0.000 0.250
0.500 0.000 0.750
0.000 0.000 0.349
0.000 0.000 0.651
0.500 0.500 0.151
0.500 0.500 0.849
```


Record 6
MgV2S4: calculated powder diffraction line list (Cu Kα (weighted mean of Kα1 and Kα2)), based on a structure optimized by DFT (PBE).

The 10 most intense peaks (10 to 90 degrees two-theta), by intensity:
two_theta, Rel. int.
35.78, 100
15.00, 99
49.93, 97
29.36, 84
33.65, 52
51.50, 49
46.94, 36
44.39, 31
62.94, 27
28.10, 23

Structural model:
```
MgV2S4
1.0
-3.549 3.549 5.327
3.549 -3.549 5.327
3.549 3.549 -5.327
Mg V S
2 4 8
direct
0.375 0.625 0.750
0.625 0.375 0.250
0.000 0.000 0.000
0.000 0.000 0.500
0.000 0.500 0.000
0.500 0.000 0.500
0.216 0.230 0.986
0.230 0.216 0.486
0.230 0.744 0.014
0.256 0.770 0.486
0.744 0.230 0.514
0.770 0.256 0.986
0.770 0.784 0.514
0.784 0.770 0.014
```


Record 7
Pa3Nb: calculated powder diffraction line list (Cu Kα (weighted mean of Kα1 and Kα2)), based on a structure optimized by DFT (PBE).

The 10 most intense peaks (10 to 90 degrees two-theta), by intensity:
two_theta, Rel. int.
36.94, 100
31.91, 33
60.20, 25
33.17, 22
68.90, 22
46.69, 17
59.26, 17
71.92, 14
22.86, 12
89.53, 9

Structural model:
```
Pa3Nb
1.0
6.237 0.000 0.000
-3.119 5.402 0.000
0.000 0.000 5.609
Pa Nb
6 2
direct
0.173 0.346 0.250
0.173 0.827 0.250
0.346 0.173 0.750
0.654 0.827 0.250
0.827 0.173 0.750
0.827 0.654 0.750
0.333 0.667 0.750
0.667 0.333 0.250
```


Record 8
KMnBi: calculated powder diffraction line list (Cu Kα (weighted mean of Kα1 and Kα2)), based on a structure optimized by DFT (PBE).

The 10 most intense peaks (10 to 90 degrees two-theta), by intensity:
two_theta, Rel. int.
21.32, 100
33.91, 67
28.14, 60
10.45, 53
37.57, 44
26.33, 44
43.60, 34
47.60, 28
41.67, 28
46.94, 28

Structural model:
```
KMnBi
1.0
4.788 0.000 0.000
0.000 4.788 0.000
0.000 0.000 8.465
K Mn Bi
2 2 2
direct
0.250 0.250 0.155
0.750 0.750 0.845
0.250 0.750 0.500
0.750 0.250 0.500
0.250 0.250 0.695
0.750 0.750 0.305
```